This entry pairs a crystal structure of LaHo2Pt2 with its calculated powder diffractogram. Radiation: Cu Kα. Structure: a crystal structure in Alexandria, relaxed with PBE.

Atomic structure:
Lattice parameters (Å, degrees): 5.4522 4.6904 10.4912 90.00 96.42 90.00
Space group P2_1/m (No. 11)
Symmetry-distinct sites (fractional):
La 0.0839 0.2500 0.2798 (multiplicity 2)
Ho 0.2719 0.7500 0.0260 (multiplicity 2)
Ho 0.3734 0.2500 0.6126 (multiplicity 2)
Pt 0.1624 0.7500 0.4760 (multiplicity 2)
Pt 0.2049 0.2500 0.8686 (multiplicity 2)

Largest 8 diffraction maxima, by intensity, 2θ = 10–90°:
(hkl), two_theta, Rel. int.
1 1 2, 31.54, 100
0 1 3, 32.05, 93
0 2 0, 38.38, 73
2 1 1, 40.21, 66
1 1 -4, 41.47, 64
2 0 -2, 35.60, 53
0 0 2, 17.01, 36
2 2 -2, 53.34, 33